No. 1
The following is a computed PXRD pattern of Tm2PdPt. It was derived from a PBE-relaxed structure, using Cu Kα, 1.54184 Å.
Intensities are scaled so that the largest is 100.

Largest 8 diffraction maxima, in order of falling intensity, 2θ from 10° to 80°:
d (Å)  2θ (°)  I (rel.)
2.441  36.8  100.0
1.409  66.3  36.1
1.726  53.1  17.6
1.221  78.3  11.3
3.986  22.3  3.8
2.082  43.5  2.2
1.584  58.2  1.0
1.329  70.9  0.8

a b c (Å): 4.882 4.882 4.882
angles (deg): 60.00 60.00 60.00
Fractional positions:
Tm (0.250, 0.250, 0.250)
Tm (0.750, 0.750, 0.750)
Pd (0.000, 0.000, 0.000)
Pt (0.500, 0.500, 0.500)


No. 2
The following is a computed PXRD pattern of TiZn2O4. It was derived from a PBE-relaxed structure, using Cu Kα, 1.54184 Å.
Intensities are scaled so that the largest is 100.

Largest 10 diffraction maxima, in order of falling intensity, 2θ from 10° to 80°:
d (Å)  2θ (°)  I (rel.)
2.591  34.6  100.0
2.561  35.0  50.4
1.509  61.4  42.7
3.018  29.6  34.4
1.655  55.5  30.5
1.521  60.9  21.7
3.042  29.4  17.3
1.632  56.4  14.3
2.151  42.0  14.0
1.752  52.2  13.0

a b c (Å): 6.085 6.085 8.470
angles (deg): 90.00 90.00 90.00
Fractional positions:
Ti (0.000, 0.261, 0.000)
Ti (0.000, 0.739, 0.500)
Ti (0.261, 0.000, 0.250)
Ti (0.739, 0.000, 0.750)
Zn (0.246, 0.246, 0.625)
Zn (0.246, 0.754, 0.875)
Zn (0.257, 0.500, 0.250)
Zn (0.500, 0.257, 0.000)
Zn (0.500, 0.743, 0.500)
Zn (0.743, 0.500, 0.750)
Zn (0.754, 0.246, 0.375)
Zn (0.754, 0.754, 0.125)
O (0.016, 0.234, 0.233)
O (0.016, 0.766, 0.267)
O (0.234, 0.016, 0.017)
O (0.234, 0.474, 0.999)
O (0.234, 0.526, 0.501)
O (0.234, 0.984, 0.483)
O (0.474, 0.234, 0.251)
O (0.474, 0.766, 0.249)
O (0.526, 0.234, 0.749)
O (0.526, 0.766, 0.751)
O (0.766, 0.016, 0.983)
O (0.766, 0.474, 0.001)
O (0.766, 0.526, 0.499)
O (0.766, 0.984, 0.517)
O (0.984, 0.234, 0.767)
O (0.984, 0.766, 0.733)


No. 3
The following is a computed PXRD pattern of RbIO3. It was derived from a PBE-relaxed structure, using Cu Kα, 1.54184 Å.
Intensities are scaled so that the largest is 100.

Largest 10 diffraction maxima, in order of falling intensity, 2θ from 10° to 80°:
d (Å)  2θ (°)  I (rel.)
3.306  27.0  100.0
3.238  27.5  87.1
2.313  38.9  53.4
1.882  48.4  34.0
1.472  63.2  20.5
1.922  47.3  20.2
4.626  19.2  19.9
1.454  64.0  17.8
1.869  48.7  17.5
1.619  56.9  17.0

a b c (Å): 4.628 4.628 4.628
angles (deg): 88.78 88.78 88.78
Fractional positions:
Rb (0.000, 0.000, 0.000)
I (0.510, 0.510, 0.510)
O (0.468, 0.468, 0.904)
O (0.468, 0.904, 0.468)
O (0.904, 0.468, 0.468)


No. 4
The following is a computed PXRD pattern of Ba5As2S2O12. It was derived from a PBE-relaxed structure, using Cu Kα, 1.54184 Å.
Intensities are scaled so that the largest is 100.

Largest 10 diffraction maxima, in order of falling intensity, 2θ from 10° to 80°:
d (Å)  2θ (°)  I (rel.)
3.200  27.9  100.0
3.165  28.2  70.0
3.091  28.9  31.2
2.097  43.1  29.8
2.211  40.8  29.3
3.505  25.4  27.0
2.024  44.8  24.2
3.614  24.6  15.7
1.409  66.4  15.4
1.996  45.4  15.1

a b c (Å): 10.701 7.850 10.706
angles (deg): 90.00 119.91 90.00
Fractional positions:
Ba (0.000, 0.000, 0.000)
Ba (0.001, 0.500, 0.771)
Ba (0.100, 0.250, 0.444)
Ba (0.100, 0.750, 0.444)
Ba (0.430, 0.251, 0.103)
Ba (0.430, 0.749, 0.103)
Ba (0.522, 0.000, 0.754)
Ba (0.539, 0.500, 0.534)
Ba (0.756, 0.500, 0.998)
Ba (0.773, 0.000, 0.541)
As (0.184, 0.000, 0.806)
As (0.353, 0.500, 0.735)
As (0.386, 0.000, 0.354)
As (0.801, 0.500, 0.387)
S (0.146, 0.500, 0.186)
S (0.731, 0.000, 0.149)
S (0.769, 0.250, 0.777)
S (0.769, 0.750, 0.777)
O (0.053, 0.345, 0.139)
O (0.053, 0.655, 0.139)
O (0.109, 0.000, 0.621)
O (0.132, 0.178, 0.863)
O (0.132, 0.822, 0.863)
O (0.166, 0.500, 0.644)
O (0.234, 0.500, 0.348)
O (0.244, 0.500, 0.123)
O (0.272, 0.000, 0.426)
O (0.290, 0.000, 0.167)
O (0.371, 0.000, 0.897)
O (0.402, 0.323, 0.675)
O (0.402, 0.677, 0.675)
O (0.428, 0.500, 0.921)
O (0.495, 0.177, 0.404)
O (0.495, 0.823, 0.404)
O (0.616, 0.500, 0.276)
O (0.656, 0.000, 0.236)
O (0.685, 0.155, 0.057)
O (0.685, 0.845, 0.057)
O (0.858, 0.322, 0.496)
O (0.858, 0.678, 0.496)
O (0.891, 0.000, 0.246)
O (0.892, 0.500, 0.291)


No. 5
The following is a computed PXRD pattern of DyB4Ru4. It was derived from a PBE-relaxed structure, using Cu Kα, 1.54184 Å.
Intensities are scaled so that the largest is 100.

Largest 10 diffraction maxima, in order of falling intensity, 2θ from 10° to 80°:
d (Å)  2θ (°)  I (rel.)
2.261  39.9  100.0
2.788  32.1  59.0
2.269  39.7  42.3
2.241  40.2  36.2
2.655  33.8  29.0
1.328  71.0  25.0
1.443  64.6  13.3
1.677  54.7  13.2
1.445  64.5  12.9
2.059  44.0  11.2

a b c (Å): 9.209 9.209 9.209
angles (deg): 131.97 131.97 70.27
Fractional positions:
Dy (0.125, 0.375, 0.750)
Dy (0.375, 0.125, 0.250)
Dy (0.625, 0.875, 0.750)
Dy (0.875, 0.625, 0.250)
B (0.067, 0.124, 0.277)
B (0.124, 0.347, 0.057)
B (0.153, 0.376, 0.443)
B (0.210, 0.933, 0.557)
B (0.290, 0.847, 0.723)
B (0.347, 0.790, 0.223)
B (0.376, 0.433, 0.223)
B (0.433, 0.710, 0.057)
B (0.567, 0.290, 0.943)
B (0.624, 0.567, 0.777)
B (0.653, 0.210, 0.777)
B (0.710, 0.153, 0.277)
B (0.790, 0.067, 0.443)
B (0.847, 0.624, 0.557)
B (0.876, 0.653, 0.943)
B (0.933, 0.876, 0.723)
Ru (0.038, 0.821, 0.986)
Ru (0.052, 0.038, 0.717)
Ru (0.164, 0.679, 0.717)
Ru (0.179, 0.664, 0.217)
Ru (0.321, 0.538, 0.486)
Ru (0.336, 0.052, 0.514)
Ru (0.448, 0.164, 0.986)
Ru (0.462, 0.448, 0.783)
Ru (0.538, 0.552, 0.217)
Ru (0.552, 0.836, 0.014)
Ru (0.664, 0.948, 0.486)
Ru (0.679, 0.462, 0.514)
Ru (0.821, 0.336, 0.783)
Ru (0.836, 0.321, 0.283)
Ru (0.948, 0.962, 0.283)
Ru (0.962, 0.179, 0.014)


No. 6
The following is a computed PXRD pattern of NaPdN. It was derived from a PBE-relaxed structure, using Cu Kα, 1.54184 Å.
Intensities are scaled so that the largest is 100.

Largest 10 diffraction maxima, in order of falling intensity, 2θ from 10° to 80°:
d (Å)  2θ (°)  I (rel.)
3.782  23.5  100.0
2.660  33.7  72.7
2.184  41.3  36.5
1.688  54.4  18.8
1.677  54.7  17.9
1.335  70.5  17.1
1.421  65.7  16.9
1.891  48.1  13.4
3.742  23.8  11.9
1.886  48.3  11.5

a b c (Å): 4.367 4.367 3.742
angles (deg): 90.00 90.00 120.00
Fractional positions:
Na (0.000, 0.000, 0.000)
Pd (0.667, 0.333, 0.500)
N (0.667, 0.333, 0.000)


No. 7
The following is a computed PXRD pattern of Hf15Mo11Se2. It was derived from a PBE-relaxed structure, using Cu Kα, 1.54184 Å.
Intensities are scaled so that the largest is 100.

Largest 10 diffraction maxima, in order of falling intensity, 2θ from 10° to 80°:
d (Å)  2θ (°)  I (rel.)
2.339  38.5  100.0
2.329  38.7  43.1
2.314  38.9  39.8
1.446  64.4  32.6
2.823  31.7  29.6
1.377  68.1  23.9
2.781  32.2  22.1
2.259  39.9  20.2
2.733  32.8  19.8
1.453  64.1  19.6

a b c (Å): 8.350 8.350 9.038
angles (deg): 90.00 90.00 120.00
Fractional positions:
Hf (0.063, 0.531, 0.202)
Hf (0.063, 0.531, 0.798)
Hf (0.204, 0.408, 0.500)
Hf (0.204, 0.796, 0.500)
Hf (0.260, 0.130, 0.289)
Hf (0.260, 0.130, 0.711)
Hf (0.469, 0.531, 0.202)
Hf (0.469, 0.531, 0.798)
Hf (0.469, 0.937, 0.202)
Hf (0.469, 0.937, 0.798)
Hf (0.592, 0.796, 0.500)
Hf (0.870, 0.130, 0.289)
Hf (0.870, 0.130, 0.711)
Hf (0.870, 0.740, 0.289)
Hf (0.870, 0.740, 0.711)
Mo (0.116, 0.233, 0.000)
Mo (0.116, 0.884, 0.000)
Mo (0.434, 0.217, 0.000)
Mo (0.559, 0.118, 0.500)
Mo (0.559, 0.441, 0.500)
Mo (0.667, 0.333, 0.241)
Mo (0.667, 0.333, 0.759)
Mo (0.767, 0.884, 0.000)
Mo (0.783, 0.217, 0.000)
Mo (0.783, 0.566, 0.000)
Mo (0.882, 0.441, 0.500)
Se (0.000, 0.000, 0.500)
Se (0.333, 0.667, 0.000)


No. 8
The following is a computed PXRD pattern of Mn2Co9N8. It was derived from a PBE-relaxed structure, using Cu Kα, 1.54184 Å.
Intensities are scaled so that the largest is 100.

Largest 10 diffraction maxima, in order of falling intensity, 2θ from 10° to 80°:
d (Å)  2θ (°)  I (rel.)
2.279  39.5  100.0
2.078  43.6  36.5
1.952  46.5  33.5
1.904  47.8  22.0
1.423  65.6  15.5
1.363  68.9  12.8
1.404  66.6  11.8
1.235  77.2  6.8
2.225  40.5  5.6
2.204  41.0  4.9

a b c (Å): 7.326 7.326 6.519
angles (deg): 108.33 108.33 30.90
Fractional positions:
Mn (0.220, 0.220, 0.194)
Mn (0.780, 0.780, 0.806)
Co (0.017, 0.017, 0.213)
Co (0.149, 0.149, 0.691)
Co (0.328, 0.328, 0.588)
Co (0.403, 0.403, 0.024)
Co (0.500, 0.500, 0.500)
Co (0.597, 0.597, 0.976)
Co (0.672, 0.672, 0.412)
Co (0.851, 0.851, 0.309)
Co (0.983, 0.983, 0.787)
N (0.116, 0.116, 0.945)
N (0.179, 0.179, 0.421)
N (0.358, 0.358, 0.295)
N (0.460, 0.460, 0.770)
N (0.540, 0.540, 0.230)
N (0.642, 0.642, 0.705)
N (0.821, 0.821, 0.579)
N (0.884, 0.884, 0.055)